For Fe13O14, a structure optimized by DFT (PBE+U) gives the theoretical X-ray powder pattern in this record (copper Kα).
Lines closer than 0.1° are merged.

Cell and atoms:
```
Fe13O14
1.0
4.0801 2.3557 5.0298
-4.0801 2.3557 5.0298
0.0000 -4.7113 5.0298
Fe O
13 14
Direct
0.0000 0.0000 0.0000
0.0771 0.6324 0.7846
0.1608 0.2870 0.5698
0.2154 0.9229 0.3676
0.2870 0.5698 0.1608
0.3676 0.2154 0.9229
0.4302 0.8392 0.7130
0.5698 0.1608 0.2870
0.6324 0.7846 0.0771
0.7130 0.4302 0.8392
0.7846 0.0771 0.6324
0.8392 0.7130 0.4302
0.9229 0.3676 0.2154
0.0405 0.3054 0.8986
0.1014 0.9595 0.6946
0.1518 0.6254 0.4578
0.2444 0.2444 0.2444
0.3054 0.8986 0.0405
0.3746 0.5422 0.8482
0.4578 0.1518 0.6254
0.5422 0.8482 0.3746
0.6254 0.4578 0.1518
0.6946 0.1014 0.9595
0.7556 0.7556 0.7556
0.8482 0.3746 0.5422
0.8986 0.0405 0.3054
0.9595 0.6946 0.1014
```

The 12 most intense peaks (2θ from 10° to 90°), by angle:
| two_theta | d_spacing | intensity |
| --- | --- | --- |
| 13.84 | 6.400 | 5 |
| 17.19 | 5.158 | 3 |
| 21.78 | 4.080 | 2 |
| 26.79 | 3.328 | 2 |
| 28.16 | 3.169 | 5 |
| 34.09 | 2.630 | 2 |
| 35.67 | 2.517 | 62 |
| 41.42 | 2.180 | 100 |
| 60.02 | 1.541 | 56 |
| 71.81 | 1.315 | 24 |
| 75.52 | 1.259 | 12 |
| 75.62 | 1.257 | 4 |